ThNiGe2: calculated powder X-ray diffraction pattern (a wavelength of 1.5418 Å), based on a DFT-relaxed cell (GGA-PBE, the Materials Project).
Kinematic intensities with the Lorentz-polarization factor, no thermal factor.

Most intense lines, 5 to 70 degrees two-theta, by angle:
| Position (°2θ) | I (rel.) | index |
| --- | --- | --- |
| 23.4 | 21 | 0 2 1 |
| 30.1 | 35 | 1 1 1 |
| 33.8 | 100 | 1 3 1 |
| 34.2 | 42 | 1 5 0 |
| 38.7 | 30 | 0 6 1 |
| 42.4 | 54 | 2 0 0 |

Structure:
```
data_ThNiGe2
_cell_length_a 4.267
_cell_length_b 16.628
_cell_length_c 4.266
_cell_angle_alpha 90.00
_cell_angle_beta 90.00
_cell_angle_gamma 90.00
_symmetry_space_group_name_H-M 'C m c m'
_symmetry_Int_Tables_number 63
_symmetry_space_group_name_Hall '-C 2c 2'
loop_
_atom_site_label
_atom_site_type_symbol
_atom_site_fract_x
_atom_site_fract_y
_atom_site_fract_z
Th1 Th 0.000 0.108 0.250
Ni1 Ni 0.000 0.318 0.250
Ge1 Ge 0.000 0.249 0.750
Ge2 Ge 0.000 0.459 0.250
```